For Li4V3O8, a cell relaxed with PBE+U gives the calculated powder X-ray diffraction pattern in this record (Cu Kα, 1.54184 Å).
Lines closer than 0.1° are merged.

Crystal structure
Cell: 5.9078 5.9078 5.9078 Å, 57.81 57.81 57.81°
Fractional coordinates of all 15 atoms:
Li1 0.0000 0.0000 0.0000
Li2 0.0000 0.0000 0.5000
Li3 0.0000 0.5000 0.0000
Li4 0.5000 0.0000 0.0000
V1 0.0000 0.5000 0.5000
V2 0.5000 0.0000 0.5000
V3 0.5000 0.5000 0.0000
O1 0.2443 0.2443 0.7261
O2 0.2443 0.7261 0.2443
O3 0.2537 0.2537 0.2537
O4 0.2739 0.7557 0.7557
O5 0.7261 0.2443 0.2443
O6 0.7463 0.7463 0.7463
O7 0.7557 0.2739 0.7557
O8 0.7557 0.7557 0.2739

The 10 most intense peaks (2θ = 10–80°), low angle first:
18.10 deg, I = 100
18.93 deg, I = 18
21.65 deg, I = 18
36.86 deg, I = 29
44.14 deg, I = 82
48.07 deg, I = 8
57.57 deg, I = 14
63.01 deg, I = 21
65.36 deg, I = 21
68.44 deg, I = 11



For FeOF, a cell relaxed with PBE+U gives the calculated powder X-ray diffraction pattern in this record (Cu Kα, 1.54184 Å).
Lines closer than 0.1° are merged.

Crystal structure
Cell: 9.5200 3.0715 14.1930 Å, 90.00 90.35 90.00°
Fractional coordinates of all 36 atoms:
Fe1 0.0000 0.0000 0.0000
Fe2 0.0007 0.0000 0.3366
Fe3 0.2434 0.5000 0.1935
Fe4 0.2490 0.5000 0.8574
Fe5 0.2556 0.5000 0.5174
Fe6 0.4921 0.0000 0.6642
Fe7 0.5002 0.0000 0.3306
Fe8 0.5036 0.0000 0.9971
Fe9 0.7441 0.5000 0.5269
Fe10 0.7538 0.5000 0.1931
Fe11 0.7551 0.5000 0.8530
Fe12 0.9716 0.0000 0.6844
O1 0.1472 0.0000 0.2481
O2 0.1545 0.0000 0.9097
O3 0.3985 0.5000 0.6121
O4 0.4016 0.5000 0.2817
O5 0.4046 0.5000 0.9474
O6 0.6451 0.0000 0.5784
O7 0.6536 0.0000 0.9078
O8 0.6552 0.0000 0.2436
O9 0.8396 0.0000 0.7845
O10 0.9023 0.5000 0.9531
O11 0.9029 0.5000 0.6144
O12 0.9089 0.5000 0.2830
F1 0.0972 0.5000 0.4121
F2 0.0982 0.5000 0.7439
F3 0.1006 0.5000 0.0806
F4 0.1498 0.0000 0.5799
F5 0.3427 0.0000 0.1167
F6 0.3459 0.0000 0.7761
F7 0.3497 0.0000 0.4453
F8 0.5816 0.5000 0.7355
F9 0.5974 0.5000 0.4121
F10 0.5997 0.5000 0.0776
F11 0.8451 0.0000 0.4475
F12 0.8487 0.0000 0.1152

The 10 most intense peaks (2θ = 10–80°), low angle first:
26.48 deg, I = 95
26.65 deg, I = 96
34.79 deg, I = 100
39.73 deg, I = 19
39.85 deg, I = 20
52.24 deg, I = 28
52.41 deg, I = 54
52.57 deg, I = 26
66.31 deg, I = 21
67.02 deg, I = 22



For Li9Mn2Co5O16, a cell relaxed with PBE+U gives the calculated powder X-ray diffraction pattern in this record (Cu Kα, 1.54184 Å).
Lines closer than 0.1° are merged.

Crystal structure
Cell: 5.8534 5.7874 8.4486 Å, 90.00 90.30 90.00°
Fractional coordinates of all 32 atoms:
Li1 0.0000 0.0000 0.0000
Li2 0.9997 0.5000 0.4894
Li3 0.0040 0.0000 0.4947
Li4 0.2472 0.2461 0.7574
Li5 0.2472 0.7539 0.7574
Li6 0.4985 0.0000 0.0053
Li7 0.4978 0.5000 0.0008
Li8 0.7552 0.2441 0.2404
Li9 0.7552 0.7559 0.2404
Mn1 0.7523 0.2480 0.7509
Mn2 0.7523 0.7520 0.7509
Co1 0.0030 0.5000 0.9978
Co2 0.2416 0.2449 0.2403
Co3 0.2416 0.7551 0.2403
Co4 0.4924 0.5000 0.4891
Co5 0.4978 0.0000 0.4944
O1 0.0059 0.5000 0.2542
O2 0.0154 0.0000 0.2490
O3 0.2335 0.2677 0.0071
O4 0.2335 0.7323 0.0071
O5 0.2715 0.2387 0.4967
O6 0.2715 0.7613 0.4967
O7 0.4886 0.5000 0.2627
O8 0.4955 0.0000 0.2456
O9 0.5238 0.5000 0.7393
O10 0.5276 0.0000 0.7612
O11 0.7267 0.2389 0.5180
O12 0.7267 0.7611 0.5180
O13 0.7673 0.2669 0.9756
O14 0.7673 0.7331 0.9756
O15 0.9730 0.0000 0.7456
O16 0.9733 0.5000 0.7336

The 10 most intense peaks (2θ = 10–80°), low angle first:
18.40 deg, I = 100
35.44 deg, I = 16
36.25 deg, I = 25
37.68 deg, I = 7
42.81 deg, I = 28
44.01 deg, I = 52
47.61 deg, I = 9
58.00 deg, I = 9
62.95 deg, I = 14
63.20 deg, I = 14



For Tl3Co3O8, a cell relaxed with PBE+U gives the calculated powder X-ray diffraction pattern in this record (Cu Kα, 1.54184 Å).
Lines closer than 0.1° are merged.

Crystal structure
Cell: 5.5573 5.5988 11.3973 Å, 90.05 90.03 92.63°
Fractional coordinates of all 28 atoms:
Tl1 0.0000 0.0000 0.0000
Tl2 0.0025 0.0002 0.6441
Tl3 0.4086 0.5146 0.3224
Tl4 0.4964 0.5295 0.0004
Tl5 0.4989 0.5293 0.6441
Tl6 0.9065 0.9965 0.3224
Co1 0.0055 0.4635 0.8221
Co2 0.4526 0.0161 0.1517
Co3 0.4542 0.0157 0.4922
Co4 0.5037 0.0637 0.8223
Co5 0.9488 0.5046 0.1512
Co6 0.9508 0.5041 0.4930
O1 0.0206 0.3993 0.3220
O2 0.1497 0.8377 0.1854
O3 0.1522 0.8364 0.4594
O4 0.2372 0.3069 0.0999
O5 0.2419 0.3070 0.5426
O6 0.3554 0.3852 0.8219
O7 0.3936 0.9069 0.9686
O8 0.3947 0.9069 0.6755
O9 0.5203 0.1250 0.3220
O10 0.6399 0.7053 0.1874
O11 0.6440 0.7055 0.4557
O12 0.7322 0.1994 0.1027
O13 0.7345 0.1978 0.5411
O14 0.8592 0.1307 0.8217
O15 0.8924 0.6126 0.9678
O16 0.8938 0.6120 0.6759

The 10 most intense peaks (2θ = 10–80°), low angle first:
22.04 deg, I = 36
23.09 deg, I = 31
23.41 deg, I = 36
32.01 deg, I = 55
32.25 deg, I = 47
32.37 deg, I = 100
33.12 deg, I = 92
40.04 deg, I = 23
47.88 deg, I = 30
56.80 deg, I = 24



For NaMgCr3O8, a cell relaxed with PBE+U gives the calculated powder X-ray diffraction pattern in this record (Cu Kα, 1.54184 Å).
Lines closer than 0.1° are merged.

Crystal structure
Cell: 5.1387 5.1387 7.0614 Å, 91.14 91.14 69.92°
Fractional coordinates of all 13 atoms:
Na1 0.0000 0.0000 0.0000
Mg1 0.4847 0.5153 0.0000
Cr1 0.1904 0.8096 0.5000
Cr2 0.5626 0.1730 0.3011
Cr3 0.8270 0.4374 0.6989
O1 0.4030 0.5499 0.2830
O2 0.4156 0.0413 0.4648
O3 0.4501 0.5970 0.7170
O4 0.4968 0.1199 0.0624
O5 0.8801 0.5032 0.9376
O6 0.9181 0.0487 0.3110
O7 0.9513 0.0819 0.6890
O8 0.9587 0.5844 0.5352

The 10 most intense peaks (2θ = 10–80°), low angle first:
12.54 deg, I = 35
21.10 deg, I = 30
22.46 deg, I = 100
24.35 deg, I = 38
24.89 deg, I = 25
30.36 deg, I = 17
31.61 deg, I = 44
32.96 deg, I = 24
35.43 deg, I = 37
39.29 deg, I = 28



For V3O5F, a cell relaxed with PBE+U gives the calculated powder X-ray diffraction pattern in this record (Cu Kα, 1.54184 Å).
Lines closer than 0.1° are merged.

Crystal structure
Cell: 4.6636 5.5369 7.5529 Å, 84.77 88.38 88.71°
Fractional coordinates of all 18 atoms:
V1 0.0000 0.0000 0.0000
V2 0.0039 0.3446 0.6704
V3 0.4542 0.8183 0.6497
V4 0.4755 0.1746 0.3154
V5 0.4804 0.4860 0.0045
V6 0.9744 0.6744 0.3271
O1 0.1706 0.3706 0.4390
O2 0.1776 0.6828 0.1089
O3 0.1974 0.0320 0.7547
O4 0.2803 0.1853 0.1018
O5 0.2824 0.8749 0.4261
O6 0.2865 0.5380 0.7665
O7 0.6813 0.4557 0.2406
O8 0.7740 0.9613 0.2346
O9 0.7794 0.6426 0.5666
O10 0.7911 0.3022 0.8817
F1 0.6764 0.1331 0.5585
F2 0.6795 0.8004 0.8961

The 10 most intense peaks (2θ = 10–80°), low angle first:
26.62 deg, I = 100
27.54 deg, I = 100
35.57 deg, I = 26
35.70 deg, I = 26
35.87 deg, I = 46
53.19 deg, I = 30
54.83 deg, I = 18
56.85 deg, I = 18
62.25 deg, I = 16
68.33 deg, I = 20



For Y5MgMo2O12, a cell relaxed with PBE+U gives the calculated powder X-ray diffraction pattern in this record (Cu Kα, 1.54184 Å).
Lines closer than 0.1° are merged.

Crystal structure
Cell: 6.8789 6.8789 7.4762 Å, 105.49 105.49 51.30°
Fractional coordinates of all 20 atoms:
Y1 0.0000 0.0000 0.0000
Y2 0.2937 0.2937 0.1468
Y3 0.3033 0.3033 0.6438
Y4 0.6967 0.6967 0.3562
Y5 0.7063 0.7063 0.8532
Mg1 0.5000 0.5000 0.0000
Mo1 0.2143 0.7857 0.5000
Mo2 0.7857 0.2143 0.5000
O1 0.0185 0.0185 0.2986
O2 0.0954 0.5593 0.3998
O3 0.1295 0.5906 0.9404
O4 0.4094 0.8705 0.0596
O5 0.4407 0.9046 0.6002
O6 0.4978 0.4978 0.7007
O7 0.5022 0.5022 0.2993
O8 0.5593 0.0954 0.3998
O9 0.5906 0.1295 0.9404
O10 0.8705 0.4094 0.0596
O11 0.9046 0.4407 0.6002
O12 0.9815 0.9815 0.7014

The 10 most intense peaks (2θ = 10–80°), low angle first:
24.97 deg, I = 33
27.10 deg, I = 90
28.19 deg, I = 100
30.18 deg, I = 35
32.58 deg, I = 23
32.91 deg, I = 28
33.09 deg, I = 27
34.37 deg, I = 22
39.43 deg, I = 35
48.72 deg, I = 34



For MnAlO3, a cell relaxed with PBE+U gives the calculated powder X-ray diffraction pattern in this record (Cu Kα, 1.54184 Å).
Lines closer than 0.1° are merged.

Crystal structure
Cell: 5.3358 10.6145 6.0085 Å, 90.00 116.15 90.00°
Fractional coordinates of all 30 atoms:
Mn1 0.0136 0.0000 0.1698
Mn2 0.3180 0.5245 0.4990
Mn3 0.3454 0.9996 0.8321
Mn4 0.6546 0.4996 0.1679
Mn5 0.6820 0.0245 0.5010
Mn6 0.9864 0.5000 0.8302
Al1 0.0316 0.2671 0.5014
Al2 0.3336 0.2474 0.1911
Al3 0.3572 0.7469 0.1907
Al4 0.6428 0.2469 0.8093
Al5 0.6664 0.7474 0.8089
Al6 0.9684 0.7671 0.4986
O1 0.0090 0.8296 0.0683
O2 0.0472 0.1736 0.2557
O3 0.0623 0.9402 0.5011
O4 0.2602 0.5570 0.1564
O5 0.2905 0.7022 0.4984
O6 0.2920 0.1728 0.7445
O7 0.3730 0.3482 0.4988
O8 0.3983 0.0574 0.1595
O9 0.4410 0.8294 0.9329
O10 0.5590 0.3294 0.0671
O11 0.6017 0.5574 0.8405
O12 0.6270 0.8482 0.5012
O13 0.7080 0.6728 0.2555
O14 0.7095 0.2022 0.5016
O15 0.7398 0.0570 0.8436
O16 0.9377 0.4402 0.4989
O17 0.9528 0.6736 0.7443
O18 0.9910 0.3296 0.9317

The 10 most intense peaks (2θ = 10–80°), low angle first:
16.70 deg, I = 18
31.16 deg, I = 100
33.78 deg, I = 34
34.50 deg, I = 28
34.67 deg, I = 52
37.74 deg, I = 16
50.79 deg, I = 20
52.91 deg, I = 14
60.89 deg, I = 16
63.06 deg, I = 17